Entry 1:
Starting from a DFT-relaxed cell (PBE, the Materials Project), the powder X-ray diffraction pattern of SrNb6O16 was calculated for Cu Kα.

Principal peaks in the range 15° ≤ 2θ ≤ 90°, by angle:
- hkl 1 0 0, 22.70°, rel. 100
- hkl 0 0 4, 23.68°, rel. 25
- hkl 1 1 1, 24.96°, rel. 25
- hkl 0 3 1, 26.04°, rel. 89
- hkl 0 2 4, 29.19°, rel. 59
- hkl 1 1 3, 30.18°, rel. 27
- hkl 0 1 5, 30.93°, rel. 31
- hkl 1 3 1, 34.81°, rel. 37
- hkl 1 2 4, 37.29°, rel. 29
- hkl 2 0 0, 46.36°, rel. 43

```
data_SrNb6O16
_space_group_name_H-M_alt 'A m m 2'
_space_group_IT_number 38
_cell_length_a 3.917
_cell_length_b 10.542
_cell_length_c 15.031
_cell_angle_alpha 90.00
_cell_angle_beta 90.00
_cell_angle_gamma 90.00
loop_
_space_group_symop_operation_xyz
'x,y,z'
'-x,-y,z'
'-x,y,z'
'x,-y,z'
'x,y+1/2,z+1/2'
'-x,-y+1/2,z+1/2'
'-x,y+1/2,z+1/2'
'x,-y+1/2,z+1/2'
loop_
_atom_site_label
_atom_site_type_symbol
_atom_site_fract_x
_atom_site_fract_y
_atom_site_fract_z
Sr1 Sr 0.000 0.000 0.000
Nb1 Nb 0.500 0.000 0.192
Nb2 Nb 0.500 0.000 0.405
Nb3 Nb 0.500 0.181 0.838
Nb4 Nb 0.500 0.187 0.584
O1 O 0.000 0.000 0.174
O2 O 0.000 0.000 0.395
O3 O 0.000 0.171 0.861
O4 O 0.000 0.184 0.587
O5 O 0.500 0.000 0.541
O6 O 0.500 0.000 0.887
O7 O 0.500 0.125 0.287
O8 O 0.500 0.128 0.083
O9 O 0.500 0.150 0.715
O10 O 0.500 0.192 0.445
```


Entry 2:
Starting from a DFT-relaxed cell (PBE, the Materials Project), the powder X-ray diffraction pattern of Sr4Nb2O9 was calculated for Cu Kα.

Principal peaks in the range 15° ≤ 2θ ≤ 90°, by angle:
- hkl -1 1 3, 24.27°, rel. 15
- hkl 0 1 -4, 26.81°, rel. 48
- hkl -1 1 4, 28.66°, rel. 42
- hkl 1 1 -1, 29.06°, rel. 21
- hkl 1 1 0, 29.31°, rel. 40
- hkl 2 -1 0, 29.77°, rel. 100
- hkl 1 0 4, 30.15°, rel. 48
- hkl 2 -2 4, 41.94°, rel. 26
- hkl 0 2 4, 43.80°, rel. 20
- hkl 0 3 -1, 51.86°, rel. 18

```
data_Sr4Nb2O9
_space_group_name_H-M_alt 'P 1'
_space_group_IT_number 1
_cell_length_a 6.016
_cell_length_b 6.021
_cell_length_c 15.743
_cell_angle_alpha 94.03
_cell_angle_beta 94.11
_cell_angle_gamma 118.50
loop_
_space_group_symop_operation_xyz
'x,y,z'
loop_
_atom_site_label
_atom_site_type_symbol
_atom_site_fract_x
_atom_site_fract_y
_atom_site_fract_z
Sr1 Sr 0.000 0.000 0.000
Sr2 Sr 0.026 0.090 0.520
Sr3 Sr 0.263 0.633 0.727
Sr4 Sr 0.383 0.688 0.155
Sr5 Sr 0.644 0.339 0.903
Sr6 Sr 0.704 0.346 0.120
Sr7 Sr 0.749 0.418 0.362
Sr8 Sr 0.929 0.959 0.769
Nb1 Nb 0.086 0.035 0.260
Nb2 Nb 0.317 0.644 0.944
Nb3 Nb 0.360 0.762 0.450
Nb4 Nb 0.574 0.214 0.656
O1 O 0.022 0.206 0.172
O2 O 0.033 0.480 0.023
O3 O 0.087 0.225 0.358
O4 O 0.092 0.701 0.860
O5 O 0.094 0.530 0.501
O6 O 0.191 0.788 0.349
O7 O 0.196 0.286 0.886
O8 O 0.216 0.964 0.645
O9 O 0.420 0.104 0.232
O10 O 0.425 0.981 0.018
O11 O 0.502 0.093 0.514
O12 O 0.560 0.588 0.036
O13 O 0.597 0.106 0.766
O14 O 0.598 0.536 0.678
O15 O 0.615 0.768 0.879
O16 O 0.641 0.706 0.442
O17 O 0.788 0.705 0.234
O18 O 0.904 0.233 0.647
```


Entry 3:
Starting from a DFT-relaxed cell (PBE, the Materials Project), the powder X-ray diffraction pattern of SrNb2O4 was calculated for Cu Kα.

Principal peaks in the range 15° ≤ 2θ ≤ 90°, by angle:
- hkl 1 1 1, 23.91°, rel. 47
- hkl 0 4 0, 28.30°, rel. 55
- hkl 1 3 1, 31.30°, rel. 27
- hkl 2 1 0, 35.56°, rel. 100
- hkl 2 3 0, 41.08°, rel. 72
- hkl 2 4 0, 45.45°, rel. 67
- hkl 2 5 0, 50.63°, rel. 33
- hkl 0 0 4, 62.41°, rel. 36
- hkl 2 7 0, 62.93°, rel. 22
- hkl 0 4 4, 69.91°, rel. 31

```
data_SrNb2O4
_space_group_name_H-M_alt 'P b c m'
_space_group_IT_number 57
_cell_length_a 5.152
_cell_length_b 12.615
_cell_length_c 5.954
_cell_angle_alpha 90.00
_cell_angle_beta 90.00
_cell_angle_gamma 90.00
loop_
_space_group_symop_operation_xyz
'x,y,z'
'-x,-y,-z'
'-x,-y,z+1/2'
'x,y,-z+1/2'
'x,-y+1/2,-z'
'-x,y+1/2,z'
'-x,y+1/2,-z+1/2'
'x,-y+1/2,z+1/2'
loop_
_atom_site_label
_atom_site_type_symbol
_atom_site_fract_x
_atom_site_fract_y
_atom_site_fract_z
Sr1 Sr 0.196 0.004 0.250
Nb1 Nb 0.159 0.747 0.250
Nb2 Nb 0.344 0.250 0.000
O1 O 0.008 0.144 0.505
O2 O 0.489 0.645 0.250
O3 O 0.489 0.648 0.750
```


Entry 4:
Starting from a DFT-relaxed cell (PBE, the Materials Project), the powder X-ray diffraction pattern of Sr6Nb2O11 was calculated for Cu Kα.

Principal peaks in the range 15° ≤ 2θ ≤ 90°, by angle:
- hkl 0 1 -5, 26.37°, rel. 100
- hkl -1 1 5, 29.51°, rel. 67
- hkl 1 -2 0, 29.94°, rel. 77
- hkl 2 -1 1, 30.18°, rel. 78
- hkl 1 1 1, 30.83°, rel. 73
- hkl 1 0 6, 33.57°, rel. 50
- hkl 2 0 -4, 37.86°, rel. 56
- hkl 2 -2 6, 43.00°, rel. 35
- hkl 1 2 -4, 47.46°, rel. 22
- hkl 0 2 6, 48.06°, rel. 24

```
data_Sr6Nb2O11
_space_group_name_H-M_alt 'P 1'
_space_group_IT_number 1
_cell_length_a 5.997
_cell_length_b 6.019
_cell_length_c 19.837
_cell_angle_alpha 97.35
_cell_angle_beta 90.40
_cell_angle_gamma 119.66
loop_
_space_group_symop_operation_xyz
'x,y,z'
loop_
_atom_site_label
_atom_site_type_symbol
_atom_site_fract_x
_atom_site_fract_y
_atom_site_fract_z
Sr1 Sr 0.000 0.000 0.000
Sr2 Sr 0.006 0.484 0.497
Sr3 Sr 0.219 0.557 0.098
Sr4 Sr 0.233 0.098 0.593
Sr5 Sr 0.338 0.682 0.920
Sr6 Sr 0.389 0.176 0.413
Sr7 Sr 0.478 0.158 0.227
Sr8 Sr 0.542 0.764 0.722
Sr9 Sr 0.682 0.357 0.872
Sr10 Sr 0.723 0.863 0.374
Sr11 Sr 0.874 0.869 0.180
Sr12 Sr 0.897 0.430 0.680
Nb1 Nb 0.109 0.057 0.796
Nb2 Nb 0.160 0.508 0.300
Nb3 Nb 0.611 0.279 0.048
Nb4 Nb 0.624 0.775 0.548
O1 O 0.004 0.156 0.269
O2 O 0.019 0.879 0.715
O3 O 0.100 0.372 0.792
O4 O 0.139 0.672 0.218
O5 O 0.202 0.992 0.883
O6 O 0.311 0.199 0.125
O7 O 0.331 0.562 0.627
O8 O 0.345 0.858 0.333
O9 O 0.408 0.937 0.014
O10 O 0.429 0.472 0.494
O11 O 0.450 0.934 0.501
O12 O 0.457 0.428 0.989
O13 O 0.482 0.175 0.759
O14 O 0.484 0.498 0.301
O15 O 0.732 0.796 0.837
O16 O 0.760 0.129 0.112
O17 O 0.776 0.078 0.604
O18 O 0.823 0.632 0.590
O19 O 0.831 0.619 0.084
O20 O 0.889 0.371 0.379
O21 O 0.902 0.355 0.968
O22 O 0.937 0.924 0.471
```


- Number 1 is which compound?
  SrNb6O16